Na2CaNbP3O12: simulated PXRD pattern (Cu Kα (λ = 1.5418 Å)), based on a DFT-relaxed cell (PBE, the Materials Project).
Neutral-atom scattering factors, no anomalous dispersion.

Structure:
Unit cell a=9.131 b=9.131 c=9.212 alpha=119.71 beta=119.71 gamma=59.91
Fractional positions:
Na 0.014 0.506 0.262
Na 0.102 0.898 0.500
Na 0.506 0.014 0.762
Na 0.898 0.102 0.000
Ca 0.157 0.638 0.679
Ca 0.638 0.157 0.179
Nb 0.366 0.851 0.292
Nb 0.851 0.366 0.792
P 0.054 0.235 0.474
P 0.235 0.054 0.974
P 0.462 0.563 0.485
P 0.563 0.462 0.985
P 0.743 0.969 0.490
P 0.969 0.743 0.990
O 0.059 0.228 0.979
O 0.097 0.385 0.497
O 0.143 0.776 0.162
O 0.190 0.908 0.803
O 0.228 0.059 0.479
O 0.275 0.996 0.137
O 0.287 0.616 0.509
O 0.385 0.097 0.997
O 0.408 0.482 0.820
O 0.464 0.732 0.478
O 0.482 0.408 0.320
O 0.514 0.635 0.153
O 0.565 0.957 0.468
O 0.616 0.287 0.009
O 0.635 0.514 0.653
O 0.720 0.996 0.332
O 0.732 0.464 0.978
O 0.776 0.143 0.662
O 0.799 0.899 0.013
O 0.899 0.799 0.513
O 0.908 0.190 0.303
O 0.957 0.565 0.968
O 0.996 0.275 0.637
O 0.996 0.720 0.832

Most intense lines, 2θ from 5° to 70°, low angle first:
| d [Å] | intensity |
| --- | --- |
| 6.485 | 66 |
| 4.606 | 59 |
| 4.563 | 52 |
| 3.906 | 90 |
| 3.242 | 39 |
| 2.910 | 100 |
| 2.634 | 33 |
| 1.953 | 36 |